[1]
Starting from the GGA-PBE geometry in OQMD, the X-ray diffraction stick pattern of HoTmCo2Si2N was calculated for CuKα.

Atomic structure:
a b c (Å): 10.5951 3.7258 6.7307
angles (deg): 90.00 129.15 90.00
Space group Cm (No. 8)
Inequivalent atoms, fractional coordinates:
Ho1 0.0000 0.0000 0.0000 [2 per cell]
Tm1 0.1218 0.0000 0.5651 [2 per cell]
Co1 0.2681 0.5000 0.3784 [2 per cell]
Co2 0.3545 0.0000 0.1874 [2 per cell]
Si1 0.2116 0.5000 0.9772 [2 per cell]
Si2 0.4103 0.0000 0.5873 [2 per cell]
N1 0.0626 0.5000 0.2878 [2 per cell]

Top 10 peaks for 2θ from 15° to 90°, low angle first:
2theta  d/Å  I/Imax  hkl
26.26  3.393  49  1 1 0
26.49  3.365  24  2 0 -2
35.17  2.552  81  3 1 -1
35.32  2.541  24  2 0 1
35.45  2.532  30  4 0 -1
37.62  2.391  100  1 1 -2
40.90  2.207  22  3 1 0
41.79  2.162  26  4 0 -3
48.89  1.863  25  0 2 0
52.63  1.739  34  3 1 1

=====

[2]
Starting from the GGA-PBE geometry in OQMD, the X-ray diffraction stick pattern of Ho2NbCoSi2 was calculated for CuKα.

Atomic structure:
a b c (Å): 3.9286 3.9286 7.3110
angles (deg): 90.00 90.00 90.00
Space group P-4m2 (No. 115)
Inequivalent atoms, fractional coordinates:
Ho1 0.0000 0.5000 0.1555 [2 per cell]
Nb1 0.5000 0.5000 0.5000 [1 per cell]
Co1 0.0000 0.0000 0.5000 [1 per cell]
Si1 0.0000 0.5000 0.7267 [2 per cell]

Top 10 peaks for 2θ from 15° to 90°, low angle first:
2theta  d/Å  I/Imax  hkl
25.74  3.461  87  1 0 1
32.22  2.778  27  1 1 0
33.48  2.676  100  1 0 2
34.54  2.597  99  1 1 1
36.88  2.437  38  0 0 3
40.80  2.212  63  1 1 2
46.22  1.964  57  2 0 0
53.65  1.708  24  2 1 1
58.27  1.584  41  2 1 2
60.54  1.529  36  2 0 3

=====

[3]
Starting from the GGA-PBE geometry in OQMD, the X-ray diffraction stick pattern of NdHoCo2Si2 was calculated for CuKα.

Atomic structure:
a b c (Å): 3.9868 3.9868 6.9249
angles (deg): 90.00 90.00 90.00
Space group P4mm (No. 99)
Inequivalent atoms, fractional coordinates:
Nd1 0.0000 0.0000 0.0000 [1 per cell]
Ho1 0.5000 0.5000 0.3731 [1 per cell]
Co1 0.0000 0.5000 0.6703 [2 per cell]
Si1 0.0000 0.0000 0.4929 [1 per cell]
Si2 0.5000 0.5000 0.8451 [1 per cell]

Top 10 peaks for 2θ from 15° to 90°, low angle first:
2theta  d/Å  I/Imax  hkl
25.78  3.456  100  1 0 1
31.74  2.819  30  1 1 0
34.32  2.613  99  1 0 2
41.30  2.186  69  1 1 2
45.50  1.993  45  2 0 0
53.03  1.727  31  2 1 1
58.09  1.588  23  1 0 4
58.20  1.585  26  2 1 2
61.46  1.509  19  2 0 3
76.71  1.242  31  2 1 4